(1)
Diffraction record for Ho8Er3Pu. The X-ray powder pattern is calculated, not measured: it uses a structure optimized by DFT (GGA-PBE) and Cu Kα (weighted mean of Kα1 and Kα2).
Neutral-atom scattering factors, no anomalous dispersion.

Lattice parameters (Å, degrees): 8.559 8.559 11.304 90.00 90.00 90.00
Space group I-42m (No. 121)
Symmetry-distinct sites (fractional):
Ho 0.127 0.127 0.232 (multiplicity 8)
Ho 0.231 0.231 0.967 (multiplicity 8)
Er 0.000 0.000 0.500 (multiplicity 2)
Er 0.000 0.500 0.250 (multiplicity 4)
Pu 0.000 0.000 0.000 (multiplicity 2)

Main lines, low angle first (2θ = 10–90°):
d/Å	I (rel.)	hkl
6.052	31	1 1 0
4.131	36	1 1 2
3.625	46	2 1 1
3.412	26	2 0 2
3.026	70	2 2 0
2.826	50	0 0 4
2.685	31	2 1 3
2.441	100	3 1 2
2.065	37	2 2 4
2.001	37	4 0 2
1.609	30	5 1 2
1.546	33	3 1 6

=====

(2)
Diffraction record for Ho9Er4Pu. The X-ray powder pattern is calculated, not measured: it uses a structure optimized by DFT (GGA-PBE) and Cu Kα (weighted mean of Kα1 and Kα2).
Neutral-atom scattering factors, no anomalous dispersion.

Lattice parameters (Å, degrees): 9.6200 9.6200 10.9568 90.00 90.00 120.00
Space group P6_3/mmc (No. 194)
Symmetry-distinct sites (fractional):
Ho 0.0742 0.5371 0.2500 (multiplicity 6)
Ho 0.2095 0.4190 0.5324 (multiplicity 12)
Er 0.0000 0.0000 0.0000 (multiplicity 2)
Er 0.1122 0.2244 0.2500 (multiplicity 6)
Pu 0.3333 0.6667 0.7500 (multiplicity 2)

Main lines, low angle first (2θ = 10–90°):
d/Å	I (rel.)	hkl
3.894	12	2 0 1
2.743	55	0 0 4
2.730	100	2 1 2
2.692	36	3 0 1
2.405	12	2 2 0
1.952	10	3 1 3
1.720	23	3 0 5
1.603	17	3 3 0
1.594	19	5 0 2
1.580	10	2 1 6
1.384	23	3 3 4
1.130	10	6 2 2